No. 1
This entry pairs a crystal structure of UTa2H6 with its simulated X-ray powder pattern. Radiation: a wavelength of 1.5418 Å. Structure: DFT lattice parameters and positions (GGA-PBE).
No peak broadening, texture or thermal motion is included.

Cell and atoms:
```
data_UTa2H6
_cell_length_a 2.9626
_cell_length_b 5.6211
_cell_length_c 5.6236
_cell_angle_alpha 60.02
_cell_angle_beta 89.87
_cell_angle_gamma 89.99
_symmetry_space_group_name_H-M 'P -1'
_symmetry_Int_Tables_number 2
_symmetry_space_group_name_Hall '-P 1'
loop_
_atom_site_label
_atom_site_type_symbol
_atom_site_fract_x
_atom_site_fract_y
_atom_site_fract_z
U1 U 0.0000 0.0000 0.0000
Ta1 Ta 0.5000 0.3333 0.3336
H1 H 0.0003 0.1774 0.2556
H2 H 0.0007 0.5669 0.1771
H3 H 0.0010 0.7444 0.4328
```

Main lines, by intensity (2θ from 10° to 90°):
index	d/Å	2theta	I_rel
0 2 1	2.812	31.8	100.0
1 0 1	2.531	35.5	72.3
0 3 3	1.623	56.7	19.9
1 1 3	1.565	59.0	17.4
-1 1 3	1.562	59.1	17.4
1 2 2	1.883	48.3	15.3

---

No. 2
This entry pairs a crystal structure of TaVH4 with its simulated X-ray powder pattern. Radiation: a wavelength of 1.5418 Å. Structure: DFT lattice parameters and positions (GGA-PBE).
No peak broadening, texture or thermal motion is included.

Cell and atoms:
```
data_TaVH4
_cell_length_a 3.0963
_cell_length_b 3.0963
_cell_length_c 15.1859
_cell_angle_alpha 90.00
_cell_angle_beta 90.00
_cell_angle_gamma 120.00
_symmetry_space_group_name_H-M 'R -3 m'
_symmetry_Int_Tables_number 166
_symmetry_space_group_name_Hall '-R 3 2"'
loop_
_atom_site_label
_atom_site_type_symbol
_atom_site_fract_x
_atom_site_fract_y
_atom_site_fract_z
Ta1 Ta 0.0000 0.0000 0.0000
V1 V 0.0000 0.0000 0.5000
H1 H 0.0000 0.0000 0.1296
H2 H 0.0000 0.0000 0.3807
```

Main lines, by intensity (2θ from 10° to 90°):
index	d/Å	2theta	I_rel
0 1 2	2.529	35.5	100.0
1 0 4	2.190	41.2	47.3
0 0 3	5.062	17.5	42.1
2 0 2	1.321	71.4	38.1
1 1 0	1.549	59.7	33.6
1 0 1	2.641	33.9	26.3

---

No. 3
This entry pairs a crystal structure of TaV2H3 with its simulated X-ray powder pattern. Radiation: a wavelength of 1.5418 Å. Structure: DFT lattice parameters and positions (GGA-PBE).
No peak broadening, texture or thermal motion is included.

Cell and atoms:
```
data_TaV2H3
_cell_length_a 4.6536
_cell_length_b 3.1743
_cell_length_c 7.3872
_cell_angle_alpha 90.00
_cell_angle_beta 106.82
_cell_angle_gamma 90.00
_symmetry_space_group_name_H-M 'P 1 21/m 1'
_symmetry_Int_Tables_number 11
_symmetry_space_group_name_Hall '-P 2yb'
loop_
_atom_site_label
_atom_site_type_symbol
_atom_site_fract_x
_atom_site_fract_y
_atom_site_fract_z
Ta1 Ta 0.0740 0.2500 0.1664
V1 V 0.2517 0.7500 0.5047
V2 V 0.4203 0.2500 0.8333
H1 H 0.1429 0.2500 0.6082
H2 H 0.3534 0.2500 0.4135
H3 H 0.4254 0.2500 0.0765
```

Main lines, by intensity (2θ from 10° to 90°):
index	d/Å	2theta	I_rel
1 1 1	2.306	39.1	100.0
1 1 -2	2.277	39.6	97.8
0 0 3	2.358	38.2	71.2
2 0 -1	2.326	38.7	51.7
1 0 0	4.454	19.9	44.6
0 0 1	7.071	12.5	37.6

---

No. 4
This entry pairs a crystal structure of TaV4H4 with its simulated X-ray powder pattern. Radiation: a wavelength of 1.5418 Å. Structure: DFT lattice parameters and positions (GGA-PBE).
No peak broadening, texture or thermal motion is included.

Cell and atoms:
```
data_TaV4H4
_cell_length_a 7.1114
_cell_length_b 7.1114
_cell_length_c 3.2043
_cell_angle_alpha 90.00
_cell_angle_beta 90.00
_cell_angle_gamma 90.00
_symmetry_space_group_name_H-M 'I 4/m'
_symmetry_Int_Tables_number 87
_symmetry_space_group_name_Hall '-I 4'
loop_
_atom_site_label
_atom_site_type_symbol
_atom_site_fract_x
_atom_site_fract_y
_atom_site_fract_z
Ta1 Ta 0.0000 0.0000 0.0000
V1 V 0.0927 0.6984 0.5000
H1 H 0.1592 0.3027 0.5000
```

Main lines, by intensity (2θ from 10° to 90°):
index	d/Å	2theta	I_rel
1 2 1	2.257	39.9	100.0
3 1 0	2.249	40.1	49.3
1 1 0	5.029	17.6	35.0
4 3 1	1.300	72.7	29.1
1 0 1	2.921	30.6	20.0
2 0 0	3.556	25.0	18.5

---

No. 5
This entry pairs a crystal structure of TaV6H8 with its simulated X-ray powder pattern. Radiation: a wavelength of 1.5418 Å. Structure: DFT lattice parameters and positions (GGA-PBE).
No peak broadening, texture or thermal motion is included.

Cell and atoms:
```
data_TaV6H8
_cell_length_a 7.8544
_cell_length_b 7.8544
_cell_length_c 6.5388
_cell_angle_alpha 90.00
_cell_angle_beta 90.00
_cell_angle_gamma 120.00
_symmetry_space_group_name_H-M 'R -3'
_symmetry_Int_Tables_number 148
_symmetry_space_group_name_Hall '-R 3'
loop_
_atom_site_label
_atom_site_type_symbol
_atom_site_fract_x
_atom_site_fract_y
_atom_site_fract_z
Ta1 Ta 0.0000 0.0000 0.0000
V1 V 0.0461 0.2440 0.6563
H1 H 0.0000 0.0000 0.2962
H2 H 0.0529 0.2554 0.1589
```

Main lines, by intensity (2θ from 10° to 90°):
index	d/Å	2theta	I_rel
2 1 1	2.393	37.6	100.0
3 -2 2	2.021	44.8	60.5
1 0 1	4.714	18.8	35.6
0 0 3	2.180	41.4	23.3
1 4 0	1.484	62.6	22.1
1 4 3	1.227	77.9	21.8

---

No. 6
This entry pairs a crystal structure of Ta2V2H3 with its simulated X-ray powder pattern. Radiation: a wavelength of 1.5418 Å. Structure: DFT lattice parameters and positions (GGA-PBE).
No peak broadening, texture or thermal motion is included.

Cell and atoms:
```
data_Ta2V2H3
_cell_length_a 5.5139
_cell_length_b 5.3608
_cell_length_c 5.3718
_cell_angle_alpha 90.00
_cell_angle_beta 117.48
_cell_angle_gamma 90.00
_symmetry_space_group_name_H-M 'P 1 21/c 1'
_symmetry_Int_Tables_number 14
_symmetry_space_group_name_Hall '-P 2ybc'
loop_
_atom_site_label
_atom_site_type_symbol
_atom_site_fract_x
_atom_site_fract_y
_atom_site_fract_z
Ta1 Ta 0.1972 0.1279 0.2496
V1 V 0.3041 0.6353 0.2631
H1 H 0.0000 0.0000 0.5000
H2 H 0.4753 0.6366 0.6508
```

Main lines, by intensity (2θ from 10° to 90°):
index	d/Å	2theta	I_rel
0 2 1	2.336	38.5	100.0
2 0 0	2.447	36.7	54.7
0 0 2	2.383	37.8	53.3
1 1 0	3.614	24.6	44.2
1 1 -1	3.513	25.4	39.5
2 0 -2	2.325	38.7	36.8

---

No. 7
This entry pairs a crystal structure of TaV3H2 with its simulated X-ray powder pattern. Radiation: a wavelength of 1.5418 Å. Structure: DFT lattice parameters and positions (GGA-PBE).
No peak broadening, texture or thermal motion is included.

Cell and atoms:
```
data_TaV3H2
_cell_length_a 5.5101
_cell_length_b 5.5101
_cell_length_c 4.8696
_cell_angle_alpha 90.00
_cell_angle_beta 90.00
_cell_angle_gamma 120.00
_symmetry_space_group_name_H-M 'P -3 m 1'
_symmetry_Int_Tables_number 164
_symmetry_space_group_name_Hall '-P 3 2"'
loop_
_atom_site_label
_atom_site_type_symbol
_atom_site_fract_x
_atom_site_fract_y
_atom_site_fract_z
Ta1 Ta 0.3333 0.6667 0.2211
V1 V 0.1602 0.3204 0.7497
H1 H 0.0000 0.0000 0.5000
H2 H 0.0000 0.5000 0.5000
```

Main lines, by intensity (2θ from 10° to 90°):
index	d/Å	2theta	I_rel
0 2 1	2.143	42.2	100.0
1 0 1	3.408	26.1	57.2
0 0 2	2.435	36.9	30.4
2 0 0	2.386	37.7	22.6
1 1 0	2.755	32.5	21.4
0 2 3	1.342	70.1	18.4

---

No. 8
This entry pairs a crystal structure of TaV3H6 with its simulated X-ray powder pattern. Radiation: a wavelength of 1.5418 Å. Structure: DFT lattice parameters and positions (GGA-PBE).
No peak broadening, texture or thermal motion is included.

Cell and atoms:
```
data_TaV3H6
_cell_length_a 9.3609
_cell_length_b 4.0213
_cell_length_c 4.3815
_cell_angle_alpha 90.00
_cell_angle_beta 116.51
_cell_angle_gamma 90.00
_symmetry_space_group_name_H-M 'C 1 2/m 1'
_symmetry_Int_Tables_number 12
_symmetry_space_group_name_Hall '-C 2y'
loop_
_atom_site_label
_atom_site_type_symbol
_atom_site_fract_x
_atom_site_fract_y
_atom_site_fract_z
Ta1 Ta 0.0000 0.0000 0.0000
V1 V 0.0000 0.5000 0.5000
V2 V 0.2502 0.0000 0.7729
H1 H 0.1294 0.2546 0.3922
H2 H 0.2480 0.0000 0.1698
```

Main lines, by intensity (2θ from 10° to 90°):
index	d/Å	2theta	I_rel
1 1 1	2.437	36.9	100.0
3 1 -1	2.400	37.5	95.4
1 1 0	3.625	24.6	42.8
2 0 -2	2.190	41.2	35.4
4 0 0	2.094	43.2	31.8
0 0 1	3.921	22.7	30.6

---

No. 9
This entry pairs a crystal structure of Ta2V2H5 with its simulated X-ray powder pattern. Radiation: a wavelength of 1.5418 Å. Structure: DFT lattice parameters and positions (GGA-PBE).
No peak broadening, texture or thermal motion is included.

Cell and atoms:
```
data_Ta2V2H5
_cell_length_a 3.1772
_cell_length_b 3.1772
_cell_length_c 7.4988
_cell_angle_alpha 90.00
_cell_angle_beta 90.00
_cell_angle_gamma 90.00
_symmetry_space_group_name_H-M 'P 4/m m m'
_symmetry_Int_Tables_number 123
_symmetry_space_group_name_Hall '-P 4 2'
loop_
_atom_site_label
_atom_site_type_symbol
_atom_site_fract_x
_atom_site_fract_y
_atom_site_fract_z
Ta1 Ta 0.0000 0.0000 0.0000
Ta2 Ta 0.0000 0.0000 0.5000
V1 V 0.5000 0.5000 0.2341
H1 H 0.0000 0.5000 0.3531
H2 H 0.5000 0.5000 0.0000
```

Main lines, by intensity (2θ from 10° to 90°):
index	d/Å	2theta	I_rel
1 0 2	2.424	37.1	100.0
1 1 0	2.247	40.1	40.0
1 0 0	3.177	28.1	32.0
2 1 2	1.329	70.9	29.4
0 0 2	3.749	23.7	24.7
1 1 4	1.439	64.8	19.1

---

No. 10
This entry pairs a crystal structure of Tb2Te3H with its simulated X-ray powder pattern. Radiation: a wavelength of 1.5418 Å. Structure: DFT lattice parameters and positions (GGA-PBE).
No peak broadening, texture or thermal motion is included.

Cell and atoms:
```
data_Tb2Te3H
_cell_length_a 11.6553
_cell_length_b 4.0642
_cell_length_c 12.7935
_cell_angle_alpha 90.00
_cell_angle_beta 90.00
_cell_angle_gamma 90.00
_symmetry_space_group_name_H-M 'P n m a'
_symmetry_Int_Tables_number 62
_symmetry_space_group_name_Hall '-P 2ac 2n'
loop_
_atom_site_label
_atom_site_type_symbol
_atom_site_fract_x
_atom_site_fract_y
_atom_site_fract_z
Tb1 Tb 0.0596 0.2500 0.1750
Tb2 Tb 0.2019 0.2500 0.5198
Te1 Te 0.0672 0.7500 0.3749
Te2 Te 0.1141 0.2500 0.9355
Te3 Te 0.1762 0.7500 0.6977
H1 H 0.1379 0.7500 0.1235
```

Main lines, by intensity (2θ from 10° to 90°):
index	d/Å	2theta	I_rel
3 1 1	2.743	32.6	100.0
1 1 3	2.853	31.4	88.5
0 1 3	2.942	30.4	69.3
4 0 1	2.841	31.5	59.2
4 1 2	2.221	40.6	46.7
0 2 0	2.032	44.6	45.8

---

No. 11
This entry pairs a crystal structure of Tb3TlH3 with its simulated X-ray powder pattern. Radiation: a wavelength of 1.5418 Å. Structure: DFT lattice parameters and positions (GGA-PBE).
No peak broadening, texture or thermal motion is included.

Cell and atoms:
```
data_Tb3TlH3
_cell_length_a 6.4935
_cell_length_b 6.4935
_cell_length_c 22.6890
_cell_angle_alpha 90.00
_cell_angle_beta 90.00
_cell_angle_gamma 120.00
_symmetry_space_group_name_H-M 'R -3'
_symmetry_Int_Tables_number 148
_symmetry_space_group_name_Hall '-R 3'
loop_
_atom_site_label
_atom_site_type_symbol
_atom_site_fract_x
_atom_site_fract_y
_atom_site_fract_z
Tb1 Tb 0.0010 0.3385 0.3950
Tl1 Tl 0.0000 0.0000 0.1667
H1 H 0.9996 0.3313 0.9642
```

Main lines, by intensity (2θ from 10° to 90°):
index	d/Å	2theta	I_rel
1 1 3	2.983	29.9	100.0
2 -1 6	2.463	36.5	57.0
3 0 0	1.875	48.6	26.7
3 0 9	1.504	61.7	24.3
0 0 9	2.521	35.6	21.3
1 1 12	1.634	56.3	16.1

---

No. 12
This entry pairs a crystal structure of TbYH4 with its simulated X-ray powder pattern. Radiation: a wavelength of 1.5418 Å. Structure: DFT lattice parameters and positions (GGA-PBE).
No peak broadening, texture or thermal motion is included.

Cell and atoms:
```
data_TbYH4
_cell_length_a 5.1924
_cell_length_b 5.1924
_cell_length_c 10.4780
_cell_angle_alpha 90.00
_cell_angle_beta 90.00
_cell_angle_gamma 90.00
_symmetry_space_group_name_H-M 'I 41/a m d'
_symmetry_Int_Tables_number 141
loop_
_symmetry_equiv_pos_as_xyz
'x,y,z'
'-x,-y,-z'
'-y+1/4,x+3/4,z+1/4'
'y+1/4,-x+3/4,-z+1/4'
'-x+1/2,-y,z+1/2'
'x+1/2,y,-z+1/2'
'y+1/4,-x+1/4,z+3/4'
'-y+1/4,x+1/4,-z+3/4'
'x,-y,-z'
'-x,y,z'
'-y+1/4,-x+1/4,-z+3/4'
'y+1/4,x+1/4,z+3/4'
'-x+1/2,y,-z+1/2'
'x+1/2,-y,z+1/2'
'y+1/4,x+3/4,-z+1/4'
'-y+1/4,-x+3/4,z+1/4'
'x+1/2,y+1/2,z+1/2'
'-x+1/2,-y+1/2,-z+1/2'
'-y+3/4,x+1/4,z+3/4'
'y+3/4,-x+1/4,-z+3/4'
'-x,-y+1/2,z'
'x,y+1/2,-z'
'y+3/4,-x+3/4,z+1/4'
'-y+3/4,x+3/4,-z+1/4'
'x+1/2,-y+1/2,-z+1/2'
'-x+1/2,y+1/2,z+1/2'
'-y+3/4,-x+3/4,-z+1/4'
'y+3/4,x+3/4,z+1/4'
'-x,y+1/2,-z'
'x,-y+1/2,z'
'y+3/4,x+1/4,-z+3/4'
'-y+3/4,-x+1/4,z+3/4'
loop_
_atom_site_label
_atom_site_type_symbol
_atom_site_fract_x
_atom_site_fract_y
_atom_site_fract_z
Tb1 Tb 0.0000 0.2500 0.3750
Y1 Y 0.0000 0.2500 0.8750
H1 H 0.2492 0.0000 0.0000
```

Main lines, by intensity (2θ from 10° to 90°):
index	d/Å	2theta	I_rel
1 1 2	3.007	29.7	100.0
2 0 0	2.596	34.5	31.9
3 1 2	1.567	58.9	28.3
2 0 4	1.844	49.4	24.9
0 0 4	2.619	34.2	16.3
1 1 6	1.577	58.5	14.5